1.
For ThMnGe2, a cell relaxed with PBE gives the theoretical powder X-ray diffraction pattern in this record (Cu Ka).
Intensities are scaled so that the largest is 100.

Cell lengths 8.9414, 8.9414, 4.1946 Å; angles 90.00, 90.00, 152.24 degrees
Fractional positions:
Th: 0.1452 0.8548 0.0000
Th: 0.8548 0.1452 0.0000
Mn: 0.4281 0.5719 0.5000
Mn: 0.5719 0.4281 0.5000
Ge: 0.0000 0.0000 0.5000
Ge: 0.2914 0.7086 0.5000
Ge: 0.5000 0.5000 0.0000
Ge: 0.7086 0.2914 0.5000

Most intense lines, 2θ from 15° to 90°, in order of rising 2θ:
2θ (°), I/Imax
25.85, 25
29.62, 32
30.24, 22
33.66, 100
37.77, 15
42.10, 56
43.13, 23
52.34, 14
61.86, 36
67.00, 10
71.60, 11
73.03, 11

2.
For ThMn3Ge3, a cell relaxed with PBE gives the theoretical powder X-ray diffraction pattern in this record (Cu Ka).
Intensities are scaled so that the largest is 100.

Cell lengths 6.6160, 6.6160, 6.6160 Å; angles 90.00, 90.00, 90.00 degrees
Fractional positions:
Th: 0.0000 0.0000 0.0000
Th: 0.5000 0.5000 0.5000
Mn: 0.0000 0.2500 0.5000
Mn: 0.0000 0.7500 0.5000
Mn: 0.2500 0.5000 0.0000
Mn: 0.5000 0.0000 0.2500
Mn: 0.5000 0.0000 0.7500
Mn: 0.7500 0.5000 0.0000
Ge: 0.0000 0.5000 0.2500
Ge: 0.0000 0.5000 0.7500
Ge: 0.2500 0.0000 0.5000
Ge: 0.5000 0.2500 0.0000
Ge: 0.5000 0.7500 0.0000
Ge: 0.7500 0.0000 0.5000

Most intense lines, 2θ from 15° to 90°, in order of rising 2θ:
2θ (°), I/Imax
18.97, 12
26.95, 43
33.17, 100
43.24, 3
51.70, 57
55.56, 17
62.81, 16
66.26, 13
72.91, 3
79.32, 16
82.47, 11
88.72, 8

3.
For TiMnGe, a cell relaxed with PBE gives the theoretical powder X-ray diffraction pattern in this record (Cu Ka).
Intensities are scaled so that the largest is 100.

Cell lengths 7.3458, 7.3458, 7.3458 Å; angles 120.68, 82.49, 128.35 degrees
Fractional positions:
Ti: 0.0013 0.2500 0.2513
Ti: 0.4153 0.8619 0.0534
Ti: 0.4254 0.4054 0.5200
Ti: 0.8085 0.3619 0.9466
Ti: 0.8854 0.9054 0.4800
Ti: 0.9987 0.7500 0.7487
Mn: 0.1787 0.3408 0.9209
Mn: 0.1787 0.7578 0.3379
Mn: 0.4199 0.2578 0.0791
Mn: 0.4199 0.8408 0.6621
Mn: 0.6558 0.1558 0.5000
Mn: 0.6558 0.6558 0.0000
Ge: 0.0870 0.4264 0.6728
Ge: 0.0870 0.9142 0.1606
Ge: 0.3694 0.1582 0.7112
Ge: 0.4470 0.6582 0.2888
Ge: 0.7536 0.4142 0.3272
Ge: 0.7536 0.9264 0.8394

Most intense lines, 2θ from 15° to 90°, in order of rising 2θ:
2θ (°), I/Imax
27.92, 22
29.40, 9
37.48, 66
40.99, 100
43.18, 23
43.30, 30
49.37, 18
50.22, 42
50.37, 22
68.35, 10
73.06, 9
79.91, 12

4.
For TiMnGe2, a cell relaxed with PBE gives the theoretical powder X-ray diffraction pattern in this record (Cu Ka).
Intensities are scaled so that the largest is 100.

Cell lengths 8.9326, 9.8696, 7.9343 Å; angles 90.00, 90.00, 90.00 degrees
Fractional positions:
Ti: 0.1638 0.1796 0.0000
Ti: 0.1699 0.4528 0.2391
Ti: 0.1699 0.4528 0.7609
Ti: 0.3301 0.9528 0.2391
Ti: 0.3301 0.9528 0.7609
Ti: 0.3362 0.6796 0.0000
Ti: 0.6638 0.3204 0.0000
Ti: 0.6699 0.0472 0.2391
Ti: 0.6699 0.0472 0.7609
Ti: 0.8301 0.5472 0.2391
Ti: 0.8301 0.5472 0.7609
Ti: 0.8362 0.8204 0.0000
Mn: 0.0000 0.0000 0.2438
Mn: 0.0000 0.0000 0.7562
Mn: 0.0843 0.7510 0.2483
Mn: 0.0843 0.7510 0.7517
Mn: 0.4157 0.2510 0.2483
Mn: 0.4157 0.2510 0.7517
Mn: 0.5000 0.5000 0.2438
Mn: 0.5000 0.5000 0.7562
Mn: 0.5843 0.7490 0.2483
Mn: 0.5843 0.7490 0.7517
Mn: 0.9157 0.2490 0.2483
Mn: 0.9157 0.2490 0.7517
Ge: 0.0330 0.6238 0.5000
Ge: 0.0409 0.6207 0.0000
Ge: 0.1369 0.8984 0.0000
Ge: 0.1365 0.9048 0.5000
Ge: 0.1693 0.1820 0.3366
Ge: 0.1693 0.1820 0.6634
Ge: 0.3307 0.6820 0.3366
Ge: 0.3307 0.6820 0.6634
Ge: 0.3631 0.3984 0.0000
Ge: 0.3635 0.4048 0.5000
Ge: 0.4591 0.1207 0.0000
Ge: 0.4670 0.1238 0.5000
Ge: 0.5330 0.8762 0.5000
Ge: 0.5409 0.8793 0.0000
Ge: 0.6365 0.5952 0.5000
Ge: 0.6369 0.6016 0.0000
Ge: 0.6693 0.3180 0.3366
Ge: 0.6693 0.3180 0.6634
Ge: 0.8307 0.8180 0.3366
Ge: 0.8307 0.8180 0.6634
Ge: 0.8635 0.0952 0.5000
Ge: 0.8631 0.1016 0.0000
Ge: 0.9591 0.3793 0.0000
Ge: 0.9670 0.3762 0.5000

Most intense lines, 2θ from 15° to 90°, in order of rising 2θ:
2θ (°), I/Imax
37.83, 30
38.90, 59
40.69, 10
40.93, 100
41.46, 26
43.18, 46
45.74, 23
47.96, 13
51.24, 14
69.97, 13
75.01, 11
79.99, 12